For CsThWO6, the PBE+U geometry in Alexandria gives the simulated X-ray diffraction stick pattern in this record (Cu Kα (weighted mean of Kα1 and Kα2)).
No peak broadening, texture or thermal motion is included.

Structure:
```
CsThWO6
1.0
2.855 -5.175 0.000
2.855 5.175 0.000
-0.126 0.000 6.555
Cs Th W O
1 1 1 6
Direct
0.000 0.000 0.000
0.670 0.330 0.500
0.347 0.653 0.500
0.045 0.618 0.673
0.048 0.418 0.322
0.363 0.394 0.663
0.382 0.955 0.327
0.582 0.952 0.678
0.606 0.637 0.337
```

Most intense lines, 10° ≤ 2θ ≤ 90°, most intense first:
2theta  I/Imax
13.51  100
22.18  77
22.55  76
30.27  69
21.88  66
40.93  47
27.21  42
41.36  32